[1]
The following is a simulated powder diffractogram of Tb3Dy2Ag2. It was derived from a structure optimized by DFT (PBE), using Cu Kα, 1.54184 Å.
Kinematic intensities with the Lorentz-polarization factor, no thermal factor.

Largest 10 diffraction maxima, by angle, 5° ≤ 2θ ≤ 70°:
two_theta, d/Å, Rel. int., hkl
29.0, 3.083, 13.9, 1 0 5
32.6, 2.748, 100.0, 1 0 7
35.2, 2.549, 52.1, 1 1 0
36.3, 2.477, 5.3, 0 0 12
36.9, 2.435, 11.2, 1 0 9
50.6, 1.803, 18.4, 2 0 0
51.4, 1.776, 7.9, 1 1 12
56.4, 1.631, 9.2, 1 1 14
58.7, 1.573, 5.4, 1 0 17
61.5, 1.507, 31.8, 2 1 7

Structure:
abc: 3.605 3.605 29.721
angles: 90.00 90.00 90.00
Space group I4/mmm (No. 139)
Symmetry-distinct sites (fractional):
Tb 0.000 0.000 0.000 [2 per cell]
Tb 0.000 0.000 0.125 [4 per cell]
Dy 0.000 0.000 0.291 [4 per cell]
Ag 0.000 0.000 0.438 [4 per cell]

---

[2]
The following is a simulated powder diffractogram of Dy8TcAg2. It was derived from a structure optimized by DFT (PBE), using Cu Kα, 1.54184 Å.
Kinematic intensities with the Lorentz-polarization factor, no thermal factor.

Largest 10 diffraction maxima, by angle, 5° ≤ 2θ ≤ 70°:
two_theta, d/Å, Rel. int., hkl
29.1, 3.070, 24.8, 4 0 -2
29.7, 3.008, 62.6, 3 1 1
31.2, 2.865, 62.8, 1 1 -2
31.5, 2.844, 67.2, 5 1 -1
32.1, 2.791, 35.4, 3 1 -2
32.2, 2.782, 64.2, 5 1 0
34.1, 2.627, 81.3, 1 1 2
34.3, 2.614, 100.0, 0 2 0
36.5, 2.465, 45.1, 5 1 -2
53.2, 1.721, 18.8, 6 2 1

Structure:
abc: 17.282 5.228 6.897
angles: 90.00 108.09 90.00
Space group C2/m (No. 12)
Symmetry-distinct sites (fractional):
Dy 0.027 0.000 0.294 [4 per cell]
Dy 0.091 0.500 0.932 [4 per cell]
Dy 0.160 0.500 0.464 [4 per cell]
Dy 0.196 0.000 0.799 [4 per cell]
Tc 0.000 0.500 0.500 [2 per cell]
Ag 0.184 0.000 0.207 [4 per cell]

---

[3]
The following is a simulated powder diffractogram of DyTmAg2Te4. It was derived from a structure optimized by DFT (PBE), using Cu Kα, 1.54184 Å.
Kinematic intensities with the Lorentz-polarization factor, no thermal factor.

Largest 10 diffraction maxima, by angle, 5° ≤ 2θ ≤ 70°:
two_theta, d/Å, Rel. int., hkl
29.0, 3.078, 100.0, 1 1 1
41.2, 2.192, 38.5, 0 2 0
41.7, 2.165, 12.4, 2 0 2
41.8, 2.160, 24.6, 3 1 -1
51.2, 1.786, 20.4, 0 0 4
52.2, 1.753, 6.4, 4 0 0
60.0, 1.541, 8.3, 2 2 2
67.6, 1.385, 11.6, 1 3 1
67.8, 1.383, 5.7, 3 1 -5
68.4, 1.371, 5.6, 3 1 3

Structure:
abc: 7.445 4.387 7.592
angles: 90.00 109.66 90.00
Space group P2/m (No. 10)
Symmetry-distinct sites (fractional):
Dy 0.000 0.000 0.000 [1 per cell]
Tm 0.000 0.500 0.500 [1 per cell]
Ag 0.500 0.000 0.500 [1 per cell]
Ag 0.500 0.500 0.000 [1 per cell]
Te 0.251 0.000 0.747 [2 per cell]
Te 0.253 0.500 0.252 [2 per cell]

---

[4]
The following is a simulated powder diffractogram of Dy3Tl2Ag2. It was derived from a structure optimized by DFT (PBE), using Cu Kα, 1.54184 Å.
Kinematic intensities with the Lorentz-polarization factor, no thermal factor.

Largest 10 diffraction maxima, by angle, 5° ≤ 2θ ≤ 70°:
two_theta, d/Å, Rel. int., hkl
28.1, 3.172, 20.5, 1 5 0
32.6, 2.748, 100.0, 1 1 1
34.6, 2.594, 88.4, 1 7 0
35.5, 2.532, 64.1, 0 6 1
39.6, 2.278, 33.9, 2 0 0
52.5, 1.744, 15.0, 0 0 2
54.2, 1.693, 38.4, 2 6 1
64.3, 1.448, 45.7, 1 7 2
67.4, 1.389, 12.5, 3 1 1
67.7, 1.385, 13.9, 2 0 2

Structure:
abc: 4.555 22.093 3.487
angles: 90.00 90.00 90.00
Space group Cmmm (No. 65)
Symmetry-distinct sites (fractional):
Dy 0.000 0.000 0.000 [2 per cell]
Dy 0.000 0.162 0.000 [4 per cell]
Tl 0.000 0.421 0.500 [4 per cell]
Ag 0.000 0.285 0.500 [4 per cell]